Entry 1:
This entry pairs a crystal structure of CsEr2Ag3Te5 with its theoretical powder diffraction line list. Radiation: CuKα. Structure: a DFT-relaxed cell (GGA-PBE, the Materials Project).
Intensities are scaled so that the largest is 100.

The 10 most intense peaks (2θ from 5° to 70°), in order of rising 2θ:
- 10.79 deg, I 37.3
- 25.06 deg, I 45.5
- 25.52 deg, I 90.2
- 26.86 deg, I 93.7
- 28.80 deg, I 78.2
- 31.69 deg, I 68.3
- 33.37 deg, I 76.0
- 34.78 deg, I 59.0
- 38.50 deg, I 100.0
- 42.48 deg, I 90.3

Cell and atoms:
Cell: 8.524 8.524 18.600 Å, 90.00 90.00 148.15°
Fractional coordinates of all 22 atoms:
Cs1 0.057 0.943 0.750
Cs2 0.943 0.057 0.250
Er1 0.194 0.806 0.095
Er2 0.194 0.806 0.405
Er3 0.806 0.194 0.595
Er4 0.806 0.194 0.905
Ag1 0.342 0.658 0.750
Ag2 0.419 0.581 0.038
Ag3 0.419 0.581 0.462
Ag4 0.581 0.419 0.538
Ag5 0.581 0.419 0.962
Ag6 0.658 0.342 0.250
Te1 0.182 0.818 0.569
Te2 0.182 0.818 0.931
Te3 0.255 0.745 0.250
Te4 0.431 0.569 0.617
Te5 0.431 0.569 0.883
Te6 0.569 0.431 0.117
Te7 0.569 0.431 0.383
Te8 0.745 0.255 0.750
Te9 0.818 0.182 0.069
Te10 0.818 0.182 0.431

Entry 2:
This entry pairs a crystal structure of Cs2AgF6 with its theoretical powder diffraction line list. Radiation: CuKα. Structure: a DFT-relaxed cell (GGA-PBE, the Materials Project).
Intensities are scaled so that the largest is 100.

The 10 most intense peaks (2θ from 5° to 70°), in order of rising 2θ:
- 16.59 deg, I 36.5
- 19.17 deg, I 10.6
- 27.24 deg, I 100.0
- 32.06 deg, I 12.9
- 33.53 deg, I 22.4
- 38.91 deg, I 38.1
- 48.15 deg, I 39.1
- 51.28 deg, I 7.4
- 56.20 deg, I 23.2
- 63.56 deg, I 20.2

Cell and atoms:
Cell: 6.546 6.546 6.546 Å, 60.00 60.00 60.00°
Fractional coordinates of all 9 atoms:
Cs1 0.250 0.250 0.250
Cs2 0.750 0.750 0.750
Ag1 0.000 0.000 0.000
F1 0.219 0.219 0.781
F2 0.219 0.781 0.219
F3 0.219 0.781 0.781
F4 0.781 0.219 0.219
F5 0.781 0.219 0.781
F6 0.781 0.781 0.219

Entry 3:
This entry pairs a crystal structure of CsGaAgF6 with its theoretical powder diffraction line list. Radiation: CuKα. Structure: a DFT-relaxed cell (GGA-PBE, the Materials Project).
Intensities are scaled so that the largest is 100.

The 10 most intense peaks (2θ from 5° to 70°), in order of rising 2θ:
- 23.49 deg, I 58.3
- 27.30 deg, I 87.6
- 27.57 deg, I 97.4
- 27.75 deg, I 100.0
- 28.62 deg, I 47.5
- 28.96 deg, I 32.0
- 43.47 deg, I 42.4
- 44.20 deg, I 23.3
- 47.20 deg, I 27.0
- 48.04 deg, I 71.5

Cell and atoms:
Cell: 7.569 7.703 10.634 Å, 90.00 90.00 90.00°
Fractional coordinates of all 36 atoms:
Cs1 0.020 0.250 0.133
Cs2 0.480 0.750 0.633
Cs3 0.520 0.250 0.367
Cs4 0.980 0.750 0.867
Ga1 0.000 0.000 0.500
Ga2 0.000 0.500 0.500
Ga3 0.500 0.000 0.000
Ga4 0.500 0.500 0.000
Ag1 0.215 0.250 0.753
Ag2 0.285 0.750 0.253
Ag3 0.715 0.250 0.747
Ag4 0.785 0.750 0.247
F1 0.037 0.750 0.170
F2 0.045 0.250 0.490
F3 0.141 0.509 0.650
F4 0.141 0.991 0.650
F5 0.209 0.535 0.403
F6 0.209 0.965 0.403
F7 0.291 0.035 0.903
F8 0.291 0.465 0.903
F9 0.359 0.009 0.150
F10 0.359 0.491 0.150
F11 0.455 0.750 0.990
F12 0.463 0.250 0.670
F13 0.537 0.750 0.330
F14 0.545 0.250 0.010
F15 0.641 0.509 0.850
F16 0.641 0.991 0.850
F17 0.709 0.535 0.097
F18 0.709 0.965 0.097
F19 0.791 0.035 0.597
F20 0.791 0.465 0.597
F21 0.859 0.009 0.350
F22 0.859 0.491 0.350
F23 0.955 0.750 0.510
F24 0.963 0.250 0.830

Entry 4:
This entry pairs a crystal structure of Cs2AgIrF6 with its theoretical powder diffraction line list. Radiation: CuKα. Structure: a DFT-relaxed cell (GGA-PBE, the Materials Project).
Intensities are scaled so that the largest is 100.

The 10 most intense peaks (2θ from 5° to 70°), in order of rising 2θ:
- 16.93 deg, I 6.8
- 19.57 deg, I 3.0
- 27.81 deg, I 100.0
- 32.74 deg, I 2.3
- 39.74 deg, I 31.4
- 49.20 deg, I 40.9
- 52.41 deg, I 1.7
- 57.46 deg, I 19.9
- 60.36 deg, I 1.5
- 65.02 deg, I 19.1

Cell and atoms:
Cell: 6.415 6.415 6.415 Å, 60.00 60.00 60.00°
Fractional coordinates of all 10 atoms:
Cs1 0.250 0.250 0.250
Cs2 0.750 0.750 0.750
Ag1 0.000 0.000 0.000
Ir1 0.500 0.500 0.500
F1 0.273 0.273 0.727
F2 0.273 0.727 0.273
F3 0.273 0.727 0.727
F4 0.727 0.273 0.273
F5 0.727 0.273 0.727
F6 0.727 0.727 0.273

Entry 5:
This entry pairs a crystal structure of Cs2PrAgF6 with its theoretical powder diffraction line list. Radiation: CuKα. Structure: a DFT-relaxed cell (GGA-PBE, the Materials Project).
Intensities are scaled so that the largest is 100.

The 10 most intense peaks (2θ from 5° to 70°), in order of rising 2θ:
- 15.97 deg, I 1.3
- 18.47 deg, I 0.7
- 26.23 deg, I 100.0
- 32.27 deg, I 2.7
- 37.43 deg, I 34.3
- 46.28 deg, I 42.5
- 53.98 deg, I 22.4
- 60.98 deg, I 19.1
- 64.30 deg, I 0.7
- 67.53 deg, I 7.3

Cell and atoms:
Cell: 6.795 6.795 6.795 Å, 60.00 60.00 60.00°
Fractional coordinates of all 10 atoms:
Cs1 0.250 0.250 0.250
Cs2 0.750 0.750 0.750
Pr1 0.000 0.000 0.000
Ag1 0.500 0.500 0.500
F1 0.240 0.240 0.760
F2 0.240 0.760 0.240
F3 0.240 0.760 0.760
F4 0.760 0.240 0.240
F5 0.760 0.240 0.760
F6 0.760 0.760 0.240

Entry 6:
This entry pairs a crystal structure of Cs2GaAgI6 with its theoretical powder diffraction line list. Radiation: CuKα. Structure: a DFT-relaxed cell (GGA-PBE, the Materials Project).
Intensities are scaled so that the largest is 100.

The 10 most intense peaks (2θ from 5° to 70°), in order of rising 2θ:
- 15.02 deg, I 12.2
- 21.31 deg, I 13.0
- 26.17 deg, I 92.6
- 30.31 deg, I 100.0
- 33.99 deg, I 6.4
- 43.40 deg, I 73.2
- 51.39 deg, I 42.0
- 53.85 deg, I 25.5
- 63.05 deg, I 11.8
- 69.48 deg, I 16.9

Cell and atoms:
Cell: 8.340 8.340 8.340 Å, 60.00 60.00 60.00°
Fractional coordinates of all 10 atoms:
Cs1 0.250 0.250 0.250
Cs2 0.750 0.750 0.750
Ga1 0.000 0.000 0.000
Ag1 0.500 0.500 0.500
I1 0.244 0.244 0.756
I2 0.244 0.756 0.244
I3 0.244 0.756 0.756
I4 0.756 0.244 0.244
I5 0.756 0.244 0.756
I6 0.756 0.756 0.244